Calculated powder diffraction line list
Compound: BaNa8Sr3
Radiation: Cu Kα (weighted mean of Kα1 and Kα2)
Structure: a crystal structure in Alexandria, relaxed with GGA-PBE
Intensities are scaled so that the largest is 100.

Principal peaks in the range 10° ≤ 2θ ≤ 80°, sorted by position:
2θ 14.24, I 30.0, hkl 1 0 0; 2θ 16.16, I 23.6, hkl 0 1 1; 2θ 24.80, I 73.9, hkl 1 1 0; 2θ 27.07, I 100.0, hkl 1 0 3; 2θ 29.22, I 88.5, hkl 1 1 2; 2θ 29.74, I 41.2, hkl 2 0 1; 2θ 41.40, I 25.8, hkl 1 0 5; 2θ 45.09, I 47.1, hkl 2 1 3; 2θ 46.50, I 24.5, hkl 0 3 2; 2θ 48.85, I 28.2, hkl 0 2 5

Atomic structure:
```
12
Lattice="7.1812 0.0000 0.0000 -3.5906 6.2191 0.0000 0.0000 0.0000 11.6475" Properties=species:S:1:pos:R:3 pbc="T T T"
Ba 0.0000 0.0000 0.0000
Na 0.0000 2.0313 7.9651
Na -1.8315 5.2034 7.9651
Na 0.0000 4.1461 5.0781
Na 0.0000 4.1461 10.8866
Na 3.5906 0.0512 2.2085
Na 1.8397 3.0839 2.2085
Na 1.8315 5.2034 7.9651
Na 5.3415 3.0839 2.2085
Sr 0.0000 0.0000 4.3946
Sr 3.5906 2.0730 5.8182
Sr 3.5906 2.0730 10.1321
```